This entry pairs a crystal structure of NaNp2Te4 with its theoretical X-ray powder pattern. Radiation: λ = 1.5418 Å (Cu Kα). Structure: a DFT-relaxed cell (PBE, Alexandria).
No peak broadening, texture or thermal motion is included.

Crystal structure
a = 17.1342 Å, b = 4.4062 Å, c = 7.6153 Å
α = 90.00°, β = 115.66°, γ = 90.00°
Space group C2/m (No. 12)
Inequivalent atoms, fractional coordinates:
Na1 0.0000 0.0000 0.0000 x2
Np1 0.2454 0.5000 0.7410 x4
Te1 0.1347 0.0000 0.4658 x4
Te2 0.1389 0.5000 0.9805 x4

Top 10 peaks for 5° ≤ 2θ ≤ 70°, in order of falling intensity:
(2 0 0), 11.46 deg, I = 100
(1 1 1), 25.99 deg, I = 82
(3 1 1), 32.89 deg, I = 59
(0 2 0), 41.01 deg, I = 53
(4 0 -2), 26.23 deg, I = 42
(7 1 -1), 42.49 deg, I = 29
(5 1 -1), 33.12 deg, I = 24
(6 0 -2), 33.26 deg, I = 23
(1 1 -3), 42.65 deg, I = 18
(4 2 -2), 49.30 deg, I = 15